No. 1
Structure and calculated PXRD pattern of DyLu2Cu4Si2Ge2 (a structure optimized by DFT (PBE); Cu Kα X-rays).
Kinematic intensities with the Lorentz-polarization factor, no thermal factor.

Cell and atoms:
Cell lengths 4.118, 6.578, 13.648 Å; angles 90.00, 90.00, 90.00 degrees
Space group Immm (No. 71)
One atom of each set of equivalent atoms:
Dy: 0.000 0.000 0.000 (multiplicity 2)
Lu: 0.000 0.500 0.128 (multiplicity 4)
Cu: 0.000 0.309 0.336 (multiplicity 8)
Si: 0.000 0.183 0.500 (multiplicity 4)
Ge: 0.000 0.000 0.218 (multiplicity 4)

The 10 most intense peaks (2θ = 10–90°), in order of rising 2θ:
2θ/deg	d_spacing	Rel. int.	index
22.55	3.943	17	1 0 1
23.78	3.742	13	0 1 3
27.11	3.289	18	0 2 0
35.56	2.524	100	1 2 1
36.84	2.440	92	1 1 4
40.30	2.238	19	1 2 3
43.97	2.059	29	2 0 0
45.94	1.975	21	0 3 3
57.81	1.595	15	2 1 5
65.48	1.425	14	2 3 3

=====

No. 2
Structure and calculated PXRD pattern of Dy2Y2ErTm2Ni2Te2 (a structure optimized by DFT (PBE); Cu Kα X-rays).
Kinematic intensities with the Lorentz-polarization factor, no thermal factor.

Cell and atoms:
Cell lengths 3.843, 15.595, 9.554 Å; angles 90.00, 90.00, 90.00 degrees
Space group Imm2 (No. 44)
One atom of each set of equivalent atoms:
Dy: 0.000 0.147 0.000 (multiplicity 4)
Y: 0.000 0.184 0.352 (multiplicity 4)
Er: 0.000 0.500 0.729 (multiplicity 2)
Tm: 0.000 0.367 0.148 (multiplicity 4)
Ni: 0.000 0.260 0.656 (multiplicity 4)
Te: 0.000 0.000 0.496 (multiplicity 2)
Te: 0.000 0.500 0.392 (multiplicity 2)

The 10 most intense peaks (2θ = 10–90°), in order of rising 2θ:
2θ/deg	d_spacing	Rel. int.	index
28.61	3.120	14	0 1 3
30.40	2.941	49	1 1 2
32.99	2.716	62	0 3 3
34.08	2.631	100	1 4 1
34.55	2.596	50	0 6 0
36.65	2.452	14	1 0 3
45.07	2.012	15	1 1 4
47.31	1.922	23	2 0 0
51.10	1.787	17	1 7 2
58.89	1.568	29	2 3 3

=====

No. 3
Structure and calculated PXRD pattern of Pr2Sm2B2Br5 (a structure optimized by DFT (PBE); Cu Kα X-rays).
Kinematic intensities with the Lorentz-polarization factor, no thermal factor.

Cell and atoms:
Cell lengths 20.383, 4.016, 8.404 Å; angles 90.00, 103.31, 90.00 degrees
Space group C2/m (No. 12)
One atom of each set of equivalent atoms:
Pr: 0.001 0.000 0.206 (multiplicity 4)
Sm: 0.160 0.500 0.100 (multiplicity 4)
B: 0.040 0.500 0.022 (multiplicity 4)
Br: 0.000 0.500 0.500 (multiplicity 2)
Br: 0.163 0.000 0.353 (multiplicity 4)
Br: 0.172 0.000 0.849 (multiplicity 4)

The 10 most intense peaks (2θ = 10–90°), in order of rising 2θ:
2θ/deg	d_spacing	Rel. int.	index
10.82	8.178	41	0 0 1
15.55	5.698	20	2 0 1
26.96	3.307	99	6 0 0
29.40	3.038	19	3 1 1
30.80	2.903	100	1 1 -2
41.02	2.200	40	7 1 -2
41.76	2.163	43	5 1 2
45.15	2.008	19	0 2 0
53.38	1.716	22	6 2 0
74.34	1.276	17	1 3 -2

=====

No. 4
Structure and calculated PXRD pattern of NdErSc2Sb2 (a structure optimized by DFT (PBE); Cu Kα X-rays).
Kinematic intensities with the Lorentz-polarization factor, no thermal factor.

Cell and atoms:
Cell lengths 4.385, 4.385, 16.390 Å; angles 90.00, 90.00, 90.00 degrees
Space group I4mm (No. 107)
One atom of each set of equivalent atoms:
Nd: 0.000 0.000 0.000 (multiplicity 2)
Er: 0.000 0.000 0.352 (multiplicity 2)
Sc: 0.000 0.500 0.177 (multiplicity 4)
Sb: 0.000 0.000 0.547 (multiplicity 2)
Sb: 0.000 0.000 0.807 (multiplicity 2)

The 10 most intense peaks (2θ = 10–90°), in order of rising 2θ:
2θ/deg	d_spacing	Rel. int.	index
21.69	4.097	27	0 0 4
28.79	3.101	100	1 1 0
30.83	2.900	67	1 1 2
32.79	2.732	30	0 0 6
34.15	2.626	81	1 0 5
36.33	2.473	89	1 1 4
41.17	2.193	73	2 0 0
53.60	1.710	32	2 0 6
54.54	1.683	66	1 0 9
70.57	1.335	31	2 1 9